Simulated X-ray powder pattern
Compound: In2Ni4B
Radiation: copper Kα
Structure: a crystal structure in Alexandria, relaxed with PBE

The 12 most intense peaks (2θ from 10° to 90°), low angle first:
(hkl)  two_theta  Rel. int.
0 0 4  27.04  12
1 0 3  30.81  20
1 1 0  32.78  37
1 1 2  35.57  58
0 0 6  41.06  32
1 1 4  43.00  100
2 0 0  47.04  57
2 0 6  64.19  32
2 2 0  68.72  17
1 1 10  80.95  19
2 2 6  83.29  15
3 1 4  84.59  25

Structural model:
```
data_In2Ni4B
_cell_length_a 3.863
_cell_length_b 3.863
_cell_length_c 13.189
_cell_angle_alpha 90.00
_cell_angle_beta 90.00
_cell_angle_gamma 90.00
_symmetry_space_group_name_H-M 'P 1'
_symmetry_Int_Tables_number 1
_symmetry_space_group_name_Hall 'P 1'
loop_
_atom_site_label
_atom_site_type_symbol
_atom_site_fract_x
_atom_site_fract_y
_atom_site_fract_z
In1 In 0.000 0.000 0.154
In2 In 0.000 0.000 0.846
In3 In 0.500 0.500 0.346
In4 In 0.500 0.500 0.654
Ni1 Ni 0.000 0.000 0.355
Ni2 Ni 0.000 0.000 0.645
Ni3 Ni 0.000 0.500 0.000
Ni4 Ni 0.000 0.500 0.500
Ni5 Ni 0.500 0.000 0.000
Ni6 Ni 0.500 0.000 0.500
Ni7 Ni 0.500 0.500 0.145
Ni8 Ni 0.500 0.500 0.855
B1 B 0.000 0.000 0.500
B2 B 0.500 0.500 0.000
```